(1)
TbHoGa2Fe4: theoretical powder XRD pattern (Cu Ka), based on a crystal structure in OQMD, relaxed with PBE.
Neutral-atom scattering factors, no anomalous dispersion.

The 10 most intense peaks (2θ = 5–70°), in order of rising 2θ:
31.9 deg, I = 100
36.3 deg, I = 26
39.4 deg, I = 82
39.5 deg, I = 27
43.2 deg, I = 24
45.2 deg, I = 24
46.1 deg, I = 29
62.3 deg, I = 14
62.5 deg, I = 15
67.4 deg, I = 16

Cell and atoms:
```
TbHoGa2Fe4
1.0
3.935 0.000 0.000
0.000 4.949 0.000
0.000 0.000 6.844
Tb Ho Ga Fe
1 1 2 4
direct
0.000 0.000 0.000
0.000 0.500 0.628
0.500 0.000 0.647
0.500 0.500 0.983
0.000 0.000 0.411
0.000 0.500 0.221
0.500 0.251 0.316
0.500 0.749 0.316
```

=====

(2)
NdDyCo2Ge2: theoretical powder XRD pattern (Cu Ka), based on a crystal structure in OQMD, relaxed with PBE.
Neutral-atom scattering factors, no anomalous dispersion.

The 10 most intense peaks (2θ = 5–70°), in order of rising 2θ:
25.4 deg, I = 34
26.3 deg, I = 17
30.8 deg, I = 57
33.6 deg, I = 28
34.3 deg, I = 74
40.9 deg, I = 100
44.1 deg, I = 65
57.0 deg, I = 34
58.9 deg, I = 33
64.2 deg, I = 21

Cell and atoms:
```
NdDyCo2Ge2
1.0
4.106 0.000 0.000
0.000 4.106 0.000
0.000 0.000 6.785
Nd Dy Co Ge
1 1 2 2
direct
0.000 0.000 0.000
0.500 0.500 0.380
0.000 0.500 0.676
0.500 0.000 0.676
0.000 0.000 0.483
0.500 0.500 0.867
```

=====

(3)
AgH14C3S3N6ClO: theoretical powder XRD pattern (Cu Ka), based on a crystal structure in OQMD, relaxed with PBE.
Neutral-atom scattering factors, no anomalous dispersion.

The 10 most intense peaks (2θ = 5–70°), in order of rising 2θ:
8.3 deg, I = 83
9.4 deg, I = 100
11.4 deg, I = 37
13.6 deg, I = 31
15.1 deg, I = 22
17.8 deg, I = 33
22.5 deg, I = 22
29.3 deg, I = 63
33.6 deg, I = 26
34.2 deg, I = 25

Cell and atoms:
```
AgH14C3S3N6ClO
1.0
6.026 0.000 0.000
-2.247 9.582 0.000
-0.384 -1.933 10.671
Ag H C S N Cl O
2 28 6 6 12 2 2
direct
0.125 0.034 0.389
0.875 0.966 0.611
0.007 0.560 0.281
0.020 0.348 0.116
0.096 0.871 0.154
0.152 0.721 0.059
0.181 0.789 0.632
0.241 0.531 0.367
0.307 0.381 0.080
0.332 0.659 0.577
0.334 0.268 0.773
0.387 0.435 0.595
0.417 0.080 0.182
0.441 0.541 0.720
0.470 0.767 0.879
0.480 0.650 0.093
0.520 0.350 0.907
0.530 0.233 0.121
0.559 0.459 0.280
0.583 0.920 0.818
0.613 0.565 0.405
0.666 0.732 0.227
0.668 0.341 0.423
0.693 0.619 0.920
0.759 0.469 0.633
0.819 0.211 0.368
0.848 0.279 0.941
0.904 0.129 0.846
0.980 0.652 0.884
0.993 0.440 0.719
0.082 0.684 0.454
0.186 0.193 0.142
0.390 0.815 0.205
0.610 0.185 0.795
0.814 0.807 0.858
0.918 0.316 0.546
0.053 0.916 0.815
0.132 0.229 0.569
0.474 0.945 0.336
0.526 0.055 0.664
0.868 0.771 0.431
0.947 0.084 0.185
0.109 0.581 0.363
0.169 0.315 0.107
0.193 0.798 0.137
0.216 0.717 0.559
0.389 0.160 0.138
0.474 0.271 0.830
0.526 0.729 0.170
0.611 0.840 0.862
0.784 0.283 0.441
0.807 0.202 0.863
0.831 0.685 0.893
0.891 0.419 0.637
0.266 0.546 0.896
0.734 0.454 0.104
0.487 0.530 0.633
0.513 0.470 0.367
```

=====

(4)
P8Au: theoretical powder XRD pattern (Cu Ka), based on a crystal structure in OQMD, relaxed with PBE.
Neutral-atom scattering factors, no anomalous dispersion.

The 10 most intense peaks (2θ = 5–70°), in order of rising 2θ:
11.8 deg, I = 100
20.5 deg, I = 40
31.5 deg, I = 37
38.1 deg, I = 19
41.7 deg, I = 28
41.8 deg, I = 12
43.6 deg, I = 28
48.6 deg, I = 11
57.7 deg, I = 12
65.9 deg, I = 12

Cell and atoms:
```
P8Au
1.0
8.667 0.000 0.000
-4.334 7.506 0.000
0.000 0.000 2.491
P Au
8 1
direct
0.181 0.362 0.000
0.181 0.819 0.000
0.333 0.667 0.000
0.362 0.181 0.000
0.638 0.819 0.000
0.667 0.333 0.000
0.819 0.181 0.000
0.819 0.638 0.000
0.000 0.000 0.500
```

=====

(5)
DyHoAu6: theoretical powder XRD pattern (Cu Ka), based on a crystal structure in OQMD, relaxed with PBE.
Neutral-atom scattering factors, no anomalous dispersion.

The 10 most intense peaks (2θ = 5–70°), in order of rising 2θ:
34.0 deg, I = 27
35.0 deg, I = 9
35.7 deg, I = 43
38.5 deg, I = 100
39.4 deg, I = 52
50.1 deg, I = 18
60.1 deg, I = 9
62.1 deg, I = 17
66.0 deg, I = 21
66.6 deg, I = 11

Cell and atoms:
```
DyHoAu6
1.0
5.033 0.000 0.000
0.000 6.157 0.000
0.000 0.000 5.132
Dy Ho Au
1 1 6
direct
0.000 0.000 0.000
0.500 0.500 0.688
0.000 0.257 0.506
0.000 0.500 0.010
0.000 0.743 0.506
0.500 0.000 0.677
0.500 0.245 0.182
0.500 0.755 0.182
```

=====

(6)
Rb2Cu2Sb2S5: theoretical powder XRD pattern (Cu Ka), based on a crystal structure in OQMD, relaxed with PBE.
Neutral-atom scattering factors, no anomalous dispersion.

The 10 most intense peaks (2θ = 5–70°), in order of rising 2θ:
10.8 deg, I = 100
21.8 deg, I = 43
26.8 deg, I = 39
28.5 deg, I = 57
28.6 deg, I = 46
29.0 deg, I = 53
29.6 deg, I = 67
30.2 deg, I = 49
32.2 deg, I = 34
51.9 deg, I = 49

Cell and atoms:
```
Rb2Cu2Sb2S5
1.0
16.646 0.000 0.000
0.000 10.442 0.000
-1.130 0.000 6.561
Rb Cu Sb S
8 8 8 20
direct
0.037 0.139 0.238
0.037 0.361 0.738
0.434 0.117 0.236
0.434 0.383 0.736
0.566 0.617 0.264
0.566 0.883 0.764
0.963 0.639 0.262
0.963 0.861 0.762
0.147 0.650 0.022
0.147 0.850 0.522
0.246 0.139 0.579
0.246 0.361 0.079
0.754 0.639 0.921
0.754 0.861 0.421
0.853 0.150 0.478
0.853 0.350 0.978
0.218 0.535 0.510
0.218 0.965 0.010
0.316 0.649 0.119
0.316 0.851 0.619
0.684 0.149 0.381
0.684 0.351 0.881
0.782 0.035 0.990
0.782 0.465 0.490
0.116 0.659 0.674
0.116 0.841 0.174
0.131 0.038 0.689
0.131 0.462 0.189
0.232 0.158 0.222
0.232 0.342 0.722
0.376 0.056 0.720
0.376 0.444 0.220
0.402 0.691 0.853
0.402 0.809 0.353
0.598 0.191 0.647
0.598 0.309 0.147
0.624 0.556 0.780
0.624 0.944 0.280
0.768 0.658 0.278
0.768 0.842 0.778
0.869 0.538 0.811
0.869 0.962 0.311
0.884 0.159 0.826
0.884 0.341 0.326
```

=====

(7)
La2Sm2C2Cl5: theoretical powder XRD pattern (Cu Ka), based on a crystal structure in OQMD, relaxed with PBE.
Neutral-atom scattering factors, no anomalous dispersion.

The 10 most intense peaks (2θ = 5–70°), in order of rising 2θ:
12.3 deg, I = 69
18.8 deg, I = 44
24.8 deg, I = 23
27.1 deg, I = 68
30.2 deg, I = 62
32.3 deg, I = 23
32.5 deg, I = 100
41.1 deg, I = 23
41.2 deg, I = 24
55.8 deg, I = 24

Cell and atoms:
```
La2Sm2C2Cl5
1.0
9.703 -1.981 0.000
9.703 1.981 0.000
-3.151 0.000 7.192
La Sm C Cl
2 2 2 5
direct
0.000 0.000 0.215
0.000 0.000 0.785
0.335 0.335 0.836
0.665 0.665 0.164
0.460 0.460 0.960
0.540 0.540 0.040
0.169 0.169 0.425
0.169 0.169 0.911
0.500 0.500 0.500
0.831 0.831 0.089
0.831 0.831 0.575
```

=====

(8)
HfZrAsP: theoretical powder XRD pattern (Cu Ka), based on a crystal structure in OQMD, relaxed with PBE.
Neutral-atom scattering factors, no anomalous dispersion.

The 10 most intense peaks (2θ = 5–70°), in order of rising 2θ:
7.0 deg, I = 25
27.6 deg, I = 32
28.1 deg, I = 9
28.5 deg, I = 18
34.9 deg, I = 100
39.8 deg, I = 18
45.4 deg, I = 16
48.7 deg, I = 38
58.3 deg, I = 9
61.3 deg, I = 19

Cell and atoms:
```
HfZrAsP
1.0
3.738 0.000 0.000
-1.869 3.237 0.000
0.000 0.000 12.699
Hf Zr As P
2 2 2 2
direct
0.000 0.000 0.137
0.000 0.000 0.863
0.667 0.333 0.360
0.667 0.333 0.640
0.000 0.000 0.500
0.667 0.333 0.000
0.333 0.667 0.246
0.333 0.667 0.754
```

=====

(9)
La2NdCo2Sn7: theoretical powder XRD pattern (Cu Ka), based on a crystal structure in OQMD, relaxed with PBE.
Neutral-atom scattering factors, no anomalous dispersion.

The 10 most intense peaks (2θ = 5–70°), in order of rising 2θ:
31.8 deg, I = 100
32.3 deg, I = 23
35.6 deg, I = 9
39.0 deg, I = 26
39.0 deg, I = 23
51.5 deg, I = 21
56.4 deg, I = 19
63.7 deg, I = 9
66.2 deg, I = 26
66.5 deg, I = 9

Cell and atoms:
```
La2NdCo2Sn7
1.0
2.307 -13.878 0.000
2.307 13.878 0.000
0.000 0.000 4.618
La Nd Co Sn
2 1 2 7
direct
0.184 0.816 0.000
0.816 0.184 0.000
0.500 0.500 0.500
0.372 0.628 0.500
0.628 0.372 0.500
0.000 0.000 0.000
0.091 0.909 0.500
0.282 0.718 0.500
0.410 0.590 0.000
0.590 0.410 0.000
0.718 0.282 0.500
0.909 0.091 0.500
```

=====

(10)
Cu19Ag: theoretical powder XRD pattern (Cu Ka), based on a crystal structure in OQMD, relaxed with PBE.
Neutral-atom scattering factors, no anomalous dispersion.

The 5 most intense peaks (2θ = 5–70°), in order of rising 2θ:
7.2 deg, I = 1
43.2 deg, I = 100
43.2 deg, I = 33
50.3 deg, I = 41
50.3 deg, I = 21

Cell and atoms:
```
Cu19Ag
1.0
5.734 0.000 0.000
-0.577 6.775 0.000
-2.863 -2.191 12.298
Cu Ag
38 2
direct
0.000 0.000 0.000
0.000 0.500 0.500
0.049 0.123 0.672
0.056 0.632 0.184
0.100 0.250 0.352
0.102 0.750 0.845
0.150 0.875 0.525
0.198 0.499 0.696
0.201 0.002 0.201
0.246 0.119 0.869
0.252 0.626 0.378
0.300 0.249 0.550
0.314 0.758 0.052
0.350 0.874 0.721
0.356 0.375 0.233
0.390 0.499 0.892
0.400 0.000 0.400
0.449 0.625 0.573
0.459 0.121 0.078
0.499 0.250 0.748
0.501 0.750 0.252
0.541 0.879 0.922
0.551 0.375 0.427
0.600 0.000 0.600
0.610 0.501 0.108
0.644 0.625 0.767
0.650 0.126 0.279
0.686 0.242 0.948
0.700 0.751 0.450
0.748 0.374 0.622
0.754 0.881 0.131
0.799 0.998 0.799
0.802 0.501 0.304
0.850 0.125 0.475
0.898 0.250 0.155
0.900 0.750 0.648
0.944 0.368 0.816
0.951 0.877 0.328
0.158 0.372 0.027
0.842 0.628 0.973
```